For ZnCdSb2, DFT lattice parameters and positions (GGA-PBE) gives the calculated powder diffraction line list in this record (Cu Kα).
No peak broadening, texture or thermal motion is included.

Atomic structure:
```
data_ZnCdSb2
_chemical_formula_sum 'Zn4 Cd4 Sb8'
_cell_length_a 6.4810
_cell_length_b 8.1015
_cell_length_c 8.5229
_cell_angle_alpha 90.00
_cell_angle_beta 90.00
_cell_angle_gamma 90.00
_symmetry_space_group_name_H-M 'P 21 21 21'
_symmetry_Int_Tables_number 19
loop_
_symmetry_equiv_pos_as_xyz
'x,y,z'
'-x+1/2,-y,z+1/2'
'x+1/2,-y+1/2,-z'
'-x,y+1/2,-z+1/2'
loop_
_atom_site_label
_atom_site_type_symbol
_atom_site_fract_x
_atom_site_fract_y
_atom_site_fract_z
Zn1 Zn 0.0516 0.1135 0.1336
Cd1 Cd 0.0411 0.3811 0.6308
Sb1 Sb 0.1350 0.9135 0.3903
Sb2 Sb 0.1449 0.5701 0.8978
```

Principal peaks in the range 2θ = 10–90°, low angle first:
21.94°, rel. 28, hkl 0 2 0
25.01°, rel. 29, hkl 1 0 2
27.36°, rel. 100, hkl 1 1 2
28.01°, rel. 63, hkl 1 2 1
31.53°, rel. 65, hkl 2 1 1
37.06°, rel. 24, hkl 2 2 1
41.99°, rel. 73, hkl 1 3 2
42.42°, rel. 33, hkl 0 0 4
43.83°, rel. 42, hkl 2 1 3
44.72°, rel. 48, hkl 0 4 0


For PmHgAu2, DFT lattice parameters and positions (GGA-PBE) gives the calculated powder diffraction line list in this record (Cu Kα).
No peak broadening, texture or thermal motion is included.

Atomic structure:
```
data_PmHgAu2
_chemical_formula_sum 'Pm4 Hg4 Au8'
_cell_length_a 7.1292
_cell_length_b 7.1292
_cell_length_c 7.1292
_cell_angle_alpha 90.00
_cell_angle_beta 90.00
_cell_angle_gamma 90.00
_symmetry_space_group_name_H-M 'F m -3 m'
_symmetry_Int_Tables_number 225
_symmetry_space_group_name_Hall '-F 4 2 3'
loop_
_atom_site_label
_atom_site_type_symbol
_atom_site_fract_x
_atom_site_fract_y
_atom_site_fract_z
Pm1 Pm 0.0000 0.0000 0.0000
Hg1 Hg 0.0000 0.0000 0.5000
Au1 Au 0.2500 0.2500 0.2500
```

Principal peaks in the range 2θ = 10–90°, low angle first:
21.59°, rel. 1, hkl 1 1 1
35.62°, rel. 100, hkl 2 2 0
42.03°, rel. 1, hkl 3 1 1
51.26°, rel. 18, hkl 4 0 0
63.98°, rel. 37, hkl 4 2 2
75.43°, rel. 12, hkl 4 4 0
86.30°, rel. 17, hkl 6 2 0